# 1
For Gd3Cu2Te7, the GGA-PBE geometry in Alexandria gives the calculated powder diffraction line list in this record (Cu Kα).
Intensities are scaled so that the largest is 1000.

Atomic structure:
a b c (Å): 6.207 19.364 11.608
angles (deg): 90.00 90.00 90.00
Space group Ama2 (No. 40)
Unique sites:
Gd1 0.250 0.088 0.000 (multiplicity 4)
Gd2 0.250 0.357 0.232 (multiplicity 4)
Gd3 0.250 0.357 0.757 (multiplicity 4)
Cu1 0.250 0.222 0.571 (multiplicity 4)
Cu2 0.250 0.264 0.000 (multiplicity 4)
Te1 0.000 0.000 0.192 (multiplicity 4)
Te2 0.000 0.000 0.807 (multiplicity 4)
Te3 0.000 0.120 0.496 (multiplicity 8)
Te4 0.250 0.196 0.197 (multiplicity 4)
Te5 0.250 0.196 0.799 (multiplicity 4)
Te6 0.250 0.346 0.496 (multiplicity 4)

Most intense lines, 2θ = 10–80°, sorted by position:
(hkl)	two_theta	d_spacing	I/Imax
0 6 0	27.6	3.233	370
2 2 0	30.2	2.957	1000
0 0 4	30.8	2.902	788
1 6 0	31.2	2.863	431
0 6 2	31.7	2.821	616
2 3 1	32.9	2.719	391
0 4 4	36.1	2.489	396
2 1 3	37.4	2.402	641
2 4 2	37.8	2.382	634
0 4 8	67.4	1.390	414


# 2
For KPrTm4Se8, the GGA-PBE geometry in Alexandria gives the calculated powder diffraction line list in this record (Cu Kα).
Intensities are scaled so that the largest is 1000.

Atomic structure:
a b c (Å): 8.4708 8.4708 21.4446
angles (deg): 90.00 90.00 120.00
Space group R3m (No. 160, hexagonal axes)
Unique sites:
K1 0.0000 0.0000 0.0000 (multiplicity 3)
Pr1 0.0000 0.0000 0.3636 (multiplicity 3)
Tm1 0.0000 0.0000 0.7428 (multiplicity 3)
Tm2 0.0121 0.5060 0.8705 (multiplicity 9)
Se1 0.0000 0.0000 0.1366 (multiplicity 3)
Se2 0.0000 0.0000 0.6114 (multiplicity 3)
Se3 0.0129 0.5064 0.1242 (multiplicity 9)
Se4 0.1829 0.3658 0.9421 (multiplicity 9)

Most intense lines, 2θ = 10–80°, sorted by position:
(hkl)	two_theta	d_spacing	I/Imax
0 0 3	12.4	7.148	237
1 0 1	12.8	6.941	322
0 1 5	24.0	3.703	280
1 1 3	24.4	3.644	600
0 2 1	24.6	3.615	324
0 2 4	29.5	3.027	1000
0 2 7	38.3	2.351	273
1 2 5	38.7	2.329	295
2 0 8	41.7	2.164	699
2 2 0	42.7	2.118	705


# 3
For Ac4SiSnN, the GGA-PBE geometry in Alexandria gives the calculated powder diffraction line list in this record (Cu Kα).
Intensities are scaled so that the largest is 1000.

Atomic structure:
a b c (Å): 7.174 17.650 7.218
angles (deg): 90.00 90.00 90.00
Space group Cmcm (No. 63)
Unique sites:
Ac1 0.000 0.063 0.250 (multiplicity 4)
Ac2 0.000 0.418 0.250 (multiplicity 4)
Ac3 0.250 0.250 0.000 (multiplicity 8)
Si1 0.000 0.117 0.750 (multiplicity 4)
Sn1 0.000 0.389 0.750 (multiplicity 4)
N1 0.000 0.277 0.250 (multiplicity 4)

Most intense lines, 2θ = 10–80°, sorted by position:
(hkl)	two_theta	d_spacing	I/Imax
1 3 1	23.1	3.849	417
0 2 2	26.7	3.340	968
2 2 0	26.8	3.323	955
0 6 0	30.4	2.942	538
1 5 1	30.8	2.900	395
0 4 2	32.0	2.794	538
2 4 0	32.2	2.783	533
2 0 2	35.3	2.544	1000
2 6 2	47.2	1.924	653
2 2 4	58.2	1.585	339


What did the second record say?
For KPrTm4Se8, the GGA-PBE geometry in Alexandria gives the calculated powder diffraction line list in this record (Cu Kα).
Intensities are scaled so that the largest is 1000.

Atomic structure:
a b c (Å): 8.4708 8.4708 21.4446
angles (deg): 90.00 90.00 120.00
Space group R3m (No. 160, hexagonal axes)
Unique sites:
K1 0.0000 0.0000 0.0000 (multiplicity 3)
Pr1 0.0000 0.0000 0.3636 (multiplicity 3)
Tm1 0.0000 0.0000 0.7428 (multiplicity 3)
Tm2 0.0121 0.5060 0.8705 (multiplicity 9)
Se1 0.0000 0.0000 0.1366 (multiplicity 3)
Se2 0.0000 0.0000 0.6114 (multiplicity 3)
Se3 0.0129 0.5064 0.1242 (multiplicity 9)
Se4 0.1829 0.3658 0.9421 (multiplicity 9)

Most intense lines, 2θ = 10–80°, sorted by position:
(hkl)	two_theta	d_spacing	I/Imax
0 0 3	12.4	7.148	237
1 0 1	12.8	6.941	322
0 1 5	24.0	3.703	280
1 1 3	24.4	3.644	600
0 2 1	24.6	3.615	324
0 2 4	29.5	3.027	1000
0 2 7	38.3	2.351	273
1 2 5	38.7	2.329	295
2 0 8	41.7	2.164	699
2 2 0	42.7	2.118	705